# Mg4CuPd7
Simulated XRD peak list, a wavelength of 1.5418 Å. Input: DFT lattice parameters and positions (PBE).

Principal peaks in the range 10 to 90 degrees two-theta, in order of rising 2θ:
4.224 Å, I = 36, hkl 0 0 2; 3.363 Å, I = 100, hkl 1 1 -2; 2.533 Å, I = 60, hkl 4 0 -1; 2.394 Å, I = 30, hkl 4 0 -3; 2.385 Å, I = 82, hkl 0 2 0; 2.241 Å, I = 84, hkl 3 1 1; 2.147 Å, I = 41, hkl 1 1 3; 2.069 Å, I = 57, hkl 3 1 -4; 1.736 Å, I = 38, hkl 4 2 -1; 1.690 Å, I = 25, hkl 4 2 -3

Cell and atoms:
abc: 10.341 4.771 9.485
angles: 90.00 117.05 90.00
Space group C2/m (No. 12)
Unique sites:
Mg (0.090, 0.000, 0.274) (multiplicity 4)
Mg (0.232, 0.500, 0.165) (multiplicity 4)
Cu (0.000, 0.500, 0.500) (multiplicity 2)
Pd (0.000, 0.000, 0.500) (multiplicity 2)
Pd (0.072, 0.500, 0.811) (multiplicity 4)
Pd (0.135, 0.000, 0.012) (multiplicity 4)
Pd (0.206, 0.500, 0.424) (multiplicity 4)

=====

# SrMgCuPd
Simulated XRD peak list, a wavelength of 1.5418 Å. Input: DFT lattice parameters and positions (PBE).

Principal peaks in the range 10 to 90 degrees two-theta, in order of rising 2θ:
5.298 Å, I = 31, hkl 0 0 3; 3.812 Å, I = 78, hkl 1 0 1; 2.793 Å, I = 51, hkl 1 0 4; 2.649 Å, I = 25, hkl 0 0 6; 2.471 Å, I = 86, hkl 0 1 5; 2.267 Å, I = 100, hkl 1 1 0; 1.722 Å, I = 39, hkl 1 1 6; 1.670 Å, I = 25, hkl 2 0 5; 1.473 Å, I = 23, hkl 1 0 10; 1.345 Å, I = 24, hkl 1 2 5

Cell and atoms:
abc: 4.5344 4.5344 15.8926
angles: 90.00 90.00 120.00
Space group R3m (No. 160, hexagonal axes)
Unique sites:
Sr (0.0000, 0.0000, 0.0000) (multiplicity 3)
Mg (0.0000, 0.0000, 0.4971) (multiplicity 3)
Cu (0.0000, 0.0000, 0.1948) (multiplicity 3)
Pd (0.0000, 0.0000, 0.8038) (multiplicity 3)

=====

# PmMgCu17
Simulated XRD peak list, a wavelength of 1.5418 Å. Input: DFT lattice parameters and positions (PBE).

Principal peaks in the range 10 to 90 degrees two-theta, in order of rising 2θ:
6.348 Å, I = 21, hkl 1 0 1; 2.458 Å, I = 35, hkl 3 0 0; 2.381 Å, I = 28, hkl 0 2 4; 2.129 Å, I = 60, hkl 2 2 0; 2.116 Å, I = 100, hkl 3 0 3; 2.078 Å, I = 47, hkl 0 0 6; 1.895 Å, I = 61, hkl 2 2 3; 1.487 Å, I = 21, hkl 2 2 6; 1.229 Å, I = 20, hkl 6 0 0; 1.207 Å, I = 21, hkl 3 0 9

Cell and atoms:
abc: 8.5154 8.5154 12.4692
angles: 90.00 90.00 120.00
Space group R3m (No. 160, hexagonal axes)
Unique sites:
Pm (0.0000, 0.0000, 0.0000) (multiplicity 3)
Mg (0.0000, 0.0000, 0.6822) (multiplicity 3)
Cu (0.0000, 0.0000, 0.2473) (multiplicity 3)
Cu (0.0000, 0.0000, 0.4433) (multiplicity 3)
Cu (0.0035, 0.2997, 0.3408) (multiplicity 18)
Cu (0.0032, 0.5016, 0.8395) (multiplicity 9)
Cu (0.0063, 0.5031, 0.4946) (multiplicity 9)
Cu (0.0071, 0.5036, 0.1879) (multiplicity 9)

=====

# PmMg9Cu2
Simulated XRD peak list, a wavelength of 1.5418 Å. Input: DFT lattice parameters and positions (PBE).

Principal peaks in the range 10 to 90 degrees two-theta, in order of rising 2θ:
5.873 Å, I = 18, hkl 2 0 0; 4.295 Å, I = 68, hkl 2 1 1; 3.403 Å, I = 22, hkl 1 1 2; 2.986 Å, I = 52, hkl 3 2 1; 2.936 Å, I = 21, hkl 4 0 0; 2.630 Å, I = 100, hkl 4 2 0; 2.433 Å, I = 26, hkl 1 0 3; 2.148 Å, I = 24, hkl 4 2 2; 2.094 Å, I = 18, hkl 5 2 1; 1.518 Å, I = 17, hkl 5 5 2

Cell and atoms:
abc: 11.746 11.746 7.462
angles: 90.00 90.00 90.00
Space group I4_1/amd (No. 141, origin choice 2)
Unique sites:
Pm (0.000, 0.250, 0.375) (multiplicity 4)
Mg (0.000, 0.250, 0.875) (multiplicity 4)
Mg (0.122, 0.052, 0.686) (multiplicity 32)
Cu (0.000, 0.000, 0.000) (multiplicity 8)

=====

# PmMgCu5
Simulated XRD peak list, a wavelength of 1.5418 Å. Input: DFT lattice parameters and positions (PBE).

Principal peaks in the range 10 to 90 degrees two-theta, in order of rising 2θ:
4.015 Å, I = 14, hkl 1 1 1; 2.548 Å, I = 14, hkl 0 2 0; 2.509 Å, I = 23, hkl 1 0 4; 2.371 Å, I = 100, hkl 3 1 1; 2.294 Å, I = 16, hkl 0 2 2; 2.210 Å, I = 18, hkl 1 2 2; 2.039 Å, I = 29, hkl 1 0 5; 2.036 Å, I = 13, hkl 4 0 1; 2.001 Å, I = 25, hkl 1 2 3; 1.435 Å, I = 19, hkl 3 3 1

Cell and atoms:
abc: 8.301 5.097 10.529
angles: 90.00 90.00 90.00
Space group Pnma (No. 62)
Unique sites:
Pm (0.247, 0.250, 0.060) (multiplicity 4)
Mg (0.138, 0.750, 0.862) (multiplicity 4)
Cu (0.053, 0.750, 0.107) (multiplicity 4)
Cu (0.068, 0.003, 0.313) (multiplicity 8)
Cu (0.087, 0.250, 0.516) (multiplicity 4)
Cu (0.185, 0.250, 0.744) (multiplicity 4)

=====

# PmMg9Cu3
Simulated XRD peak list, a wavelength of 1.5418 Å. Input: DFT lattice parameters and positions (PBE).

Principal peaks in the range 10 to 90 degrees two-theta, in order of rising 2θ:
6.920 Å, I = 73, hkl 0 0 1; 4.716 Å, I = 54, hkl 1 1 -1; 3.490 Å, I = 38, hkl 0 4 0; 3.432 Å, I = 41, hkl 1 1 1; 2.818 Å, I = 49, hkl 1 3 1; 2.457 Å, I = 100, hkl 0 4 2; 2.445 Å, I = 40, hkl 1 5 0; 2.439 Å, I = 39, hkl 1 5 -1; 2.383 Å, I = 71, hkl 2 2 0; 2.358 Å, I = 68, hkl 2 2 -2

Cell and atoms:
abc: 5.413 13.959 7.387
angles: 90.00 110.48 90.00
Space group C2/m (No. 12)
Unique sites:
Pm (0.000, 0.000, 0.000) (multiplicity 2)
Mg (0.000, 0.000, 0.500) (multiplicity 2)
Mg (0.093, 0.390, 0.209) (multiplicity 8)
Mg (0.165, 0.179, 0.333) (multiplicity 8)
Cu (0.000, 0.500, 0.500) (multiplicity 2)
Cu (0.250, 0.250, 0.000) (multiplicity 4)

=====

# Pm2Mg2Cu15
Simulated XRD peak list, a wavelength of 1.5418 Å. Input: DFT lattice parameters and positions (PBE).

Principal peaks in the range 10 to 90 degrees two-theta, in order of rising 2θ:
3.052 Å, I = 27, hkl 1 1 3; 2.512 Å, I = 28, hkl 3 0 0; 2.444 Å, I = 25, hkl 0 2 4; 2.176 Å, I = 47, hkl 2 2 0; 2.167 Å, I = 100, hkl 0 3 3; 2.141 Å, I = 33, hkl 0 0 6; 1.940 Å, I = 30, hkl 2 2 3; 1.526 Å, I = 16, hkl 2 2 6; 1.374 Å, I = 16, hkl 3 3 3; 1.256 Å, I = 16, hkl 6 0 0

Cell and atoms:
abc: 8.7027 8.7027 12.8467
angles: 90.00 90.00 120.00
Space group R-3m (No. 166, hexagonal axes)
Unique sites:
Pm (0.0000, 0.0000, 0.1475) (multiplicity 6)
Mg (0.0000, 0.0000, 0.3954) (multiplicity 6)
Cu (0.0000, 0.2986, 0.5000) (multiplicity 18)
Cu (0.0000, 0.5000, 0.0000) (multiplicity 9)
Cu (0.0019, 0.5010, 0.6535) (multiplicity 18)

=====

# Pm4Mg3Cu2
Simulated XRD peak list, a wavelength of 1.5418 Å. Input: DFT lattice parameters and positions (PBE).

Principal peaks in the range 10 to 90 degrees two-theta, in order of rising 2θ:
4.403 Å, I = 100, hkl 2 0 1; 3.817 Å, I = 31, hkl 1 1 -1; 3.218 Å, I = 68, hkl 3 1 -1; 2.838 Å, I = 43, hkl 4 0 -2; 2.801 Å, I = 85, hkl 3 1 1; 2.771 Å, I = 40, hkl 1 1 -2; 2.601 Å, I = 38, hkl 3 1 -2; 2.575 Å, I = 33, hkl 1 1 2; 2.453 Å, I = 50, hkl 5 1 0; 2.311 Å, I = 50, hkl 0 2 0

Cell and atoms:
abc: 14.947 4.623 6.927
angles: 90.00 104.46 90.00
Space group C2/m (No. 12)
Unique sites:
Pm (0.075, 0.000, 0.340) (multiplicity 4)
Pm (0.226, 0.500, 0.194) (multiplicity 4)
Mg (0.000, 0.500, 0.000) (multiplicity 2)
Mg (0.103, 0.500, 0.685) (multiplicity 4)
Cu (0.109, 0.000, 0.939) (multiplicity 4)